Entry 1:
The following is a simulated XRD peak list of CaAcB12. It was derived from a GGA-PBE-relaxed structure, using copper Kα.
Neutral-atom scattering factors, no anomalous dispersion.

Structure:
Unit cell a=5.909 b=5.909 c=5.909 alpha=60.00 beta=60.00 gamma=60.00
Fractional positions:
Ca1 0.000 0.000 0.000
Ac1 0.500 0.500 0.500
B1 0.101 0.101 0.399
B2 0.101 0.399 0.101
B3 0.101 0.399 0.399
B4 0.399 0.101 0.101
B5 0.399 0.101 0.399
B6 0.399 0.399 0.101
B7 0.601 0.601 0.899
B8 0.601 0.899 0.601
B9 0.601 0.899 0.899
B10 0.899 0.601 0.601
B11 0.899 0.601 0.899
B12 0.899 0.899 0.601

Main lines, in order of rising 2θ (2θ = 10–90°):
d (Å), Rel. int.
4.825, 88
4.178, 59
2.954, 100
2.520, 54
2.412, 42
1.869, 50

Entry 2:
The following is a simulated XRD peak list of CaAc2BO5. It was derived from a GGA-PBE-relaxed structure, using copper Kα.
Neutral-atom scattering factors, no anomalous dispersion.

Structure:
Unit cell a=7.125 b=7.125 c=5.322 alpha=90.00 beta=90.00 gamma=90.00
Fractional positions:
Ca1 0.000 0.000 0.000
Ca2 0.500 0.500 0.000
Ac1 0.179 0.321 0.500
Ac2 0.321 0.821 0.500
Ac3 0.679 0.179 0.500
Ac4 0.821 0.679 0.500
B1 0.000 0.500 0.000
B2 0.500 0.000 0.000
O1 0.000 0.000 0.500
O2 0.115 0.615 0.215
O3 0.115 0.615 0.785
O4 0.385 0.115 0.215
O5 0.385 0.115 0.785
O6 0.500 0.500 0.500
O7 0.615 0.885 0.215
O8 0.615 0.885 0.785
O9 0.885 0.385 0.215
O10 0.885 0.385 0.785

Main lines, in order of rising 2θ (2θ = 10–90°):
d (Å), Rel. int.
5.322, 93
3.187, 50
2.961, 59
2.734, 100
2.043, 52
1.644, 33

Entry 3:
The following is a simulated XRD peak list of Ca2Ac2BRh4. It was derived from a GGA-PBE-relaxed structure, using copper Kα.
Neutral-atom scattering factors, no anomalous dispersion.

Structure:
Unit cell a=6.394 b=6.394 c=6.394 alpha=114.54 beta=114.54 gamma=99.75
Fractional positions:
Ca1 0.189 0.189 0.000
Ca2 0.811 0.811 0.000
Ac1 0.250 0.750 0.500
Ac2 0.750 0.250 0.500
B1 0.500 0.500 0.000
Rh1 0.287 0.287 0.574
Rh2 0.287 0.713 0.000
Rh3 0.713 0.287 0.000
Rh4 0.713 0.713 0.426

Main lines, in order of rising 2θ (2θ = 10–90°):
d (Å), Rel. int.
4.889, 30
3.151, 35
2.649, 100
2.445, 40
1.575, 17
1.448, 21

Entry 4:
The following is a simulated XRD peak list of AcCdB12. It was derived from a GGA-PBE-relaxed structure, using copper Kα.
Neutral-atom scattering factors, no anomalous dispersion.

Structure:
Unit cell a=5.951 b=5.951 c=5.951 alpha=60.00 beta=60.00 gamma=60.00
Fractional positions:
Ac1 0.000 0.000 0.000
Cd1 0.500 0.500 0.500
B1 0.101 0.101 0.399
B2 0.101 0.399 0.101
B3 0.101 0.399 0.399
B4 0.399 0.101 0.101
B5 0.399 0.101 0.399
B6 0.399 0.399 0.101
B7 0.601 0.601 0.899
B8 0.601 0.899 0.601
B9 0.601 0.899 0.899
B10 0.899 0.601 0.601
B11 0.899 0.601 0.899
B12 0.899 0.899 0.601

Main lines, in order of rising 2θ (2θ = 10–90°):
d (Å), Rel. int.
4.208, 69
2.975, 100
2.429, 41
1.882, 51
1.718, 29
1.403, 28

Entry 5:
The following is a simulated XRD peak list of Ac3CdB2Pt9. It was derived from a GGA-PBE-relaxed structure, using copper Kα.
Neutral-atom scattering factors, no anomalous dispersion.

Structure:
Unit cell a=5.977 b=5.977 c=9.655 alpha=90.00 beta=90.00 gamma=120.00
Fractional positions:
Ac1 0.000 0.000 0.000
Ac2 0.333 0.667 0.635
Ac3 0.667 0.333 0.365
Cd1 0.000 0.000 0.500
B1 0.333 0.667 0.144
B2 0.667 0.333 0.856
Pt1 0.000 0.500 0.000
Pt2 0.168 0.336 0.277
Pt3 0.168 0.832 0.277
Pt4 0.336 0.168 0.723
Pt5 0.500 0.000 0.000
Pt6 0.500 0.500 0.000
Pt7 0.664 0.832 0.277
Pt8 0.832 0.168 0.723
Pt9 0.832 0.664 0.723

Main lines, in order of rising 2θ (2θ = 10–90°):
d (Å), Rel. int.
3.218, 34
2.733, 15
2.500, 100
2.281, 87
1.494, 27
1.355, 16

Entry 6:
The following is a simulated XRD peak list of Ac2CoBPt6. It was derived from a GGA-PBE-relaxed structure, using copper Kα.
Neutral-atom scattering factors, no anomalous dispersion.

Structure:
Unit cell a=7.264 b=7.264 c=7.264 alpha=47.62 beta=47.62 gamma=47.62
Fractional positions:
Ac1 0.215 0.215 0.215
Ac2 0.785 0.785 0.785
Co1 0.500 0.500 0.500
B1 0.000 0.000 0.000
Pt1 0.237 0.237 0.708
Pt2 0.237 0.708 0.237
Pt3 0.292 0.763 0.763
Pt4 0.708 0.237 0.237
Pt5 0.763 0.292 0.763
Pt6 0.763 0.763 0.292

Main lines, in order of rising 2θ (2θ = 10–90°):
d (Å), Rel. int.
3.071, 40
2.668, 29
2.456, 100
2.421, 28
2.247, 66
1.466, 27

Entry 7:
The following is a simulated XRD peak list of Ac2CrB10. It was derived from a GGA-PBE-relaxed structure, using copper Kα.
Neutral-atom scattering factors, no anomalous dispersion.

Structure:
Unit cell a=5.860 b=11.673 c=4.297 alpha=90.00 beta=90.00 gamma=90.00
Fractional positions:
Ac1 0.206 0.136 0.000
Ac2 0.294 0.636 0.000
Ac3 0.706 0.364 0.000
Ac4 0.794 0.864 0.000
Cr1 0.000 0.500 0.500
Cr2 0.500 0.000 0.500
B1 0.055 0.309 0.500
B2 0.124 0.957 0.500
B3 0.141 0.804 0.500
B4 0.216 0.383 0.204
B5 0.216 0.383 0.796
B6 0.284 0.883 0.204
B7 0.284 0.883 0.796
B8 0.359 0.304 0.500
B9 0.376 0.457 0.500
B10 0.445 0.809 0.500
B11 0.555 0.191 0.500
B12 0.624 0.543 0.500
B13 0.641 0.696 0.500
B14 0.716 0.117 0.204
B15 0.716 0.117 0.796
B16 0.784 0.617 0.204
B17 0.784 0.617 0.796
B18 0.859 0.196 0.500
B19 0.876 0.043 0.500
B20 0.945 0.691 0.500

Main lines, in order of rising 2θ (2θ = 10–90°):
d (Å), Rel. int.
4.297, 38
4.135, 79
2.980, 100
2.421, 31
2.414, 38
1.907, 28

Entry 8:
The following is a simulated XRD peak list of CsAc3B4O12. It was derived from a GGA-PBE-relaxed structure, using copper Kα.
Neutral-atom scattering factors, no anomalous dispersion.

Structure:
Unit cell a=7.136 b=7.136 c=7.136 alpha=98.81 beta=98.81 gamma=98.81
Fractional positions:
Cs1 0.000 0.000 0.000
Ac1 0.000 0.533 0.467
Ac2 0.467 0.000 0.533
Ac3 0.533 0.467 0.000
B1 0.024 0.500 0.976
B2 0.500 0.500 0.500
B3 0.500 0.976 0.024
B4 0.976 0.024 0.500
O1 0.019 0.191 0.431
O2 0.104 0.896 0.500
O3 0.191 0.431 0.019
O4 0.372 0.628 0.500
O5 0.431 0.019 0.191
O6 0.500 0.104 0.896
O7 0.500 0.372 0.628
O8 0.569 0.809 0.981
O9 0.628 0.500 0.372
O10 0.809 0.981 0.569
O11 0.896 0.500 0.104
O12 0.981 0.569 0.809

Main lines, in order of rising 2θ (2θ = 10–90°):
d (Å), Rel. int.
4.270, 92
3.468, 100
2.709, 30
2.288, 19
2.257, 28
2.126, 34

Entry 9:
The following is a simulated XRD peak list of Cs2AcB2Se6. It was derived from a GGA-PBE-relaxed structure, using copper Kα.
Neutral-atom scattering factors, no anomalous dispersion.

Structure:
Unit cell a=7.294 b=7.294 c=9.614 alpha=112.35 beta=112.35 gamma=60.01
Fractional positions:
Cs1 0.209 0.209 0.125
Cs2 0.791 0.791 0.875
Ac1 0.000 0.000 0.500
B1 0.410 0.410 0.731
B2 0.590 0.590 0.269
Se1 0.260 0.260 0.746
Se2 0.260 0.723 0.744
Se3 0.277 0.740 0.256
Se4 0.723 0.260 0.744
Se5 0.740 0.277 0.256
Se6 0.740 0.740 0.254

Main lines, in order of rising 2θ (2θ = 10–90°):
d (Å), Rel. int.
6.137, 42
4.007, 100
3.069, 37
2.839, 90
2.261, 47
1.824, 33

Entry 10:
The following is a simulated XRD peak list of Ac2CuBPt4. It was derived from a GGA-PBE-relaxed structure, using copper Kα.
Neutral-atom scattering factors, no anomalous dispersion.

Structure:
Unit cell a=12.087 b=11.508 c=5.699 alpha=81.75 beta=70.43 gamma=27.82
Fractional positions:
Ac1 0.062 0.062 0.688
Ac2 0.312 0.312 0.938
Ac3 0.688 0.688 0.062
Ac4 0.938 0.938 0.312
Cu1 0.125 0.125 0.125
Cu2 0.875 0.875 0.875
B1 0.375 0.375 0.375
B2 0.625 0.625 0.625
Pt1 0.017 0.599 0.534
Pt2 0.350 0.534 0.599
Pt3 0.401 0.983 0.650
Pt4 0.466 0.650 0.983
Pt5 0.534 0.350 0.017
Pt6 0.599 0.017 0.350
Pt7 0.650 0.466 0.401
Pt8 0.983 0.401 0.466

Main lines, in order of rising 2θ (2θ = 10–90°):
d (Å), Rel. int.
2.957, 53
2.816, 43
2.773, 74
2.650, 100
2.391, 82
2.361, 57

Entry 11:
The following is a simulated XRD peak list of Ac2Cu2BPt4. It was derived from a GGA-PBE-relaxed structure, using copper Kα.
Neutral-atom scattering factors, no anomalous dispersion.

Structure:
Unit cell a=6.357 b=6.357 c=6.357 alpha=120.28 beta=120.28 gamma=89.52
Fractional positions:
Ac1 0.250 0.750 0.500
Ac2 0.750 0.250 0.500
Cu1 0.136 0.136 0.000
Cu2 0.864 0.864 0.000
B1 0.500 0.500 0.000
Pt1 0.264 0.264 0.528
Pt2 0.264 0.736 0.000
Pt3 0.736 0.264 0.000
Pt4 0.736 0.736 0.472

Main lines, in order of rising 2θ (2θ = 10–90°):
d (Å), Rel. int.
3.178, 22
2.592, 100
2.257, 14
2.238, 40
1.589, 18
1.351, 25

Entry 12:
The following is a simulated XRD peak list of AcB3F12. It was derived from a GGA-PBE-relaxed structure, using copper Kα.
Neutral-atom scattering factors, no anomalous dispersion.

Structure:
Unit cell a=9.454 b=9.454 c=6.072 alpha=90.00 beta=90.00 gamma=120.00
Fractional positions:
Ac1 0.333 0.667 0.250
Ac2 0.667 0.333 0.750
B1 0.094 0.383 0.750
B2 0.290 0.906 0.750
B3 0.383 0.290 0.250
B4 0.617 0.710 0.750
B5 0.710 0.094 0.250
B6 0.906 0.617 0.250
F1 0.025 0.219 0.750
F2 0.027 0.565 0.250
F3 0.194 0.975 0.750
F4 0.195 0.458 0.559
F5 0.195 0.458 0.941
F6 0.219 0.194 0.250
F7 0.263 0.805 0.559
F8 0.263 0.805 0.941
F9 0.435 0.462 0.250
F10 0.458 0.263 0.059
F11 0.458 0.263 0.441
F12 0.462 0.027 0.750
F13 0.538 0.973 0.250
F14 0.542 0.737 0.559
F15 0.542 0.737 0.941
F16 0.565 0.538 0.750
F17 0.737 0.195 0.059
F18 0.737 0.195 0.441
F19 0.781 0.806 0.750
F20 0.805 0.542 0.059
F21 0.805 0.542 0.441
F22 0.806 0.025 0.250
F23 0.973 0.435 0.750
F24 0.975 0.781 0.250

Main lines, in order of rising 2θ (2θ = 10–90°):
d (Å), Rel. int.
8.188, 100
4.877, 98
4.727, 61
3.394, 85
2.757, 61
2.127, 43